For CaEuCd2, the GGA-PBE geometry in the Materials Project gives the computed powder XRD pattern in this record (copper Kα).

Atomic structure:
```
data_CaEuCd2
_space_group_name_H-M_alt 'P 1'
_space_group_IT_number 1
_cell_length_a 7.843
_cell_length_b 7.843
_cell_length_c 7.843
_cell_angle_alpha 90.00
_cell_angle_beta 90.00
_cell_angle_gamma 90.00
loop_
_space_group_symop_operation_xyz
'x,y,z'
loop_
_atom_site_label
_atom_site_fract_x
_atom_site_fract_y
_atom_site_fract_z
Ca1 0.000 0.000 0.000
Ca2 0.000 0.500 0.500
Ca3 0.500 0.000 0.500
Ca4 0.500 0.500 0.000
Eu1 0.000 0.000 0.500
Eu2 0.000 0.500 0.000
Eu3 0.500 0.000 0.000
Eu4 0.500 0.500 0.500
Cd1 0.250 0.250 0.250
Cd2 0.250 0.250 0.750
Cd3 0.250 0.750 0.250
Cd4 0.250 0.750 0.750
Cd5 0.750 0.250 0.250
Cd6 0.750 0.250 0.750
Cd7 0.750 0.750 0.250
Cd8 0.750 0.750 0.750
```

Principal peaks in the range 2θ = 10–90°, by intensity:
32.28 deg, rel. 1000, (2 2 0)
57.57 deg, rel. 365, (4 2 2)
46.30 deg, rel. 179, (4 0 0)
76.88 deg, rel. 153, (6 2 0)
19.60 deg, rel. 145, (1 1 1)
67.56 deg, rel. 111, (4 4 0)